1.
Structure and computed powder XRD pattern of Ba2P3Pd (a structure optimized by DFT (GGA-PBE); CuKα).
Kinematic intensities with the Lorentz-polarization factor, no thermal factor.

Peak list (10 most intense, 10° ≤ 2θ ≤ 90°, low angle first)
| d/Å | 2theta | I/Imax |
| --- | --- | --- |
| 3.928 | 22.64 | 37 |
| 3.629 | 24.53 | 24 |
| 2.984 | 29.95 | 100 |
| 2.964 | 30.16 | 95 |
| 2.837 | 31.53 | 75 |
| 2.336 | 38.54 | 27 |
| 2.275 | 39.62 | 34 |
| 2.148 | 42.06 | 58 |
| 1.686 | 54.44 | 23 |
| 1.559 | 59.28 | 19 |

Cell lengths 6.548, 7.259, 12.990 Å; angles 90.00, 91.51, 90.00 degrees
Fractional positions:
Ba1 0.122 0.245 0.165
Ba2 0.122 0.255 0.665
Ba3 0.336 0.749 0.561
Ba4 0.336 0.751 0.061
Ba5 0.664 0.249 0.939
Ba6 0.664 0.251 0.439
Ba7 0.878 0.745 0.335
Ba8 0.878 0.755 0.835
P1 0.183 0.109 0.906
P2 0.183 0.391 0.406
P3 0.186 0.090 0.405
P4 0.186 0.410 0.905
P5 0.404 0.573 0.808
P6 0.404 0.927 0.308
P7 0.596 0.073 0.692
P8 0.596 0.427 0.192
P9 0.814 0.590 0.095
P10 0.814 0.910 0.595
P11 0.817 0.609 0.594
P12 0.817 0.891 0.094
Pd1 0.383 0.599 0.307
Pd2 0.383 0.901 0.807
Pd3 0.617 0.099 0.193
Pd4 0.617 0.401 0.693



2.
Structure and computed powder XRD pattern of Al2Te3 (a structure optimized by DFT (GGA-PBE); CuKα).
Kinematic intensities with the Lorentz-polarization factor, no thermal factor.

Peak list (10 most intense, 10° ≤ 2θ ≤ 90°, low angle first)
| d/Å | 2theta | I/Imax |
| --- | --- | --- |
| 3.831 | 23.22 | 53 |
| 3.752 | 23.71 | 36 |
| 3.641 | 24.45 | 19 |
| 3.370 | 26.45 | 100 |
| 3.288 | 27.12 | 49 |
| 2.681 | 33.42 | 20 |
| 2.123 | 42.59 | 30 |
| 2.112 | 42.83 | 34 |
| 1.857 | 49.06 | 27 |
| 1.822 | 50.06 | 19 |

Cell lengths 7.282, 13.135, 15.325 Å; angles 90.00, 90.05, 90.00 degrees
Fractional positions:
Al1 0.069 0.067 0.311
Al2 0.069 0.433 0.811
Al3 0.080 0.749 0.808
Al4 0.080 0.751 0.308
Al5 0.421 0.090 0.697
Al6 0.421 0.410 0.197
Al7 0.431 0.094 0.182
Al8 0.431 0.406 0.682
Al9 0.569 0.594 0.318
Al10 0.569 0.906 0.818
Al11 0.579 0.590 0.803
Al12 0.579 0.910 0.303
Al13 0.920 0.249 0.692
Al14 0.920 0.251 0.192
Al15 0.931 0.567 0.189
Al16 0.931 0.933 0.689
Te1 0.076 0.077 0.136
Te2 0.076 0.423 0.636
Te3 0.081 0.737 0.140
Te4 0.081 0.763 0.640
Te5 0.092 0.093 0.614
Te6 0.092 0.407 0.114
Te7 0.410 0.742 0.889
Te8 0.410 0.758 0.389
Te9 0.417 0.076 0.865
Te10 0.417 0.424 0.365
Te11 0.424 0.084 0.358
Te12 0.424 0.416 0.858
Te13 0.576 0.584 0.142
Te14 0.576 0.916 0.642
Te15 0.583 0.576 0.635
Te16 0.583 0.924 0.135
Te17 0.590 0.242 0.611
Te18 0.590 0.258 0.111
Te19 0.908 0.593 0.886
Te20 0.908 0.907 0.386
Te21 0.919 0.237 0.360
Te22 0.919 0.263 0.860
Te23 0.924 0.577 0.364
Te24 0.924 0.923 0.864



3.
Structure and computed powder XRD pattern of Ho2TlCd (a structure optimized by DFT (GGA-PBE); CuKα).
Kinematic intensities with the Lorentz-polarization factor, no thermal factor.

Peak list (10 most intense, 10° ≤ 2θ ≤ 90°, low angle first)
| d/Å | 2theta | I/Imax |
| --- | --- | --- |
| 4.338 | 20.47 | 4 |
| 2.656 | 33.74 | 100 |
| 2.265 | 39.79 | 2 |
| 1.878 | 48.46 | 18 |
| 1.724 | 53.14 | 1 |
| 1.534 | 60.35 | 38 |
| 1.446 | 64.44 | 1 |
| 1.328 | 70.96 | 12 |
| 1.270 | 74.75 | 1 |
| 1.188 | 80.93 | 16 |

Cell lengths 5.313, 5.313, 5.313 Å; angles 60.00, 60.00, 60.00 degrees
Fractional positions:
Ho1 0.250 0.250 0.250
Ho2 0.750 0.750 0.750
Tl1 0.000 0.000 0.000
Cd1 0.500 0.500 0.500